Structure and theoretical PXRD pattern of KYb3 (a cell relaxed with PBE; Cu Kα (weighted mean of Kα1 and Kα2)).

Most intense lines, 10 to 90 degrees two-theta, low angle first:
| 2θ (°) | I/Imax |
| --- | --- |
| 17.80 | 15 |
| 27.74 | 100 |
| 32.14 | 51 |
| 46.09 | 38 |
| 54.60 | 30 |
| 54.73 | 15 |
| 57.29 | 13 |
| 74.13 | 6 |
| 74.24 | 12 |
| 76.41 | 11 |
| 76.60 | 6 |
| 85.32 | 9 |

Cell and atoms:
abc: 5.576 5.576 11.119
angles: 90.00 90.00 90.00
Positions (direct):
1 K 0.000 0.000 0.000
2 K 0.500 0.500 0.500
3 Yb 0.000 0.000 0.500
4 Yb 0.000 0.500 0.250
5 Yb 0.000 0.500 0.750
6 Yb 0.500 0.000 0.250
7 Yb 0.500 0.000 0.750
8 Yb 0.500 0.500 0.000